Structure and simulated powder diffraction line list of Eu2CuTe2S2O14 (the PBE geometry in the Materials Project; Cu Kα (weighted mean of Kα1 and Kα2)).

Peak list (12 most intense, 2θ from 10° to 80°, in order of rising 2θ)
hkl 0 1 1, 12.63 deg, rel. 58; hkl 1 0 1, 18.74 deg, rel. 36; hkl 0 1 2, 21.72 deg, rel. 39; hkl 1 0 -1, 24.09 deg, rel. 65; hkl 1 1 2, 24.27 deg, rel. 74; hkl 0 2 0, 24.98 deg, rel. 100; hkl 1 0 2, 26.48 deg, rel. 42; hkl 1 2 1, 27.26 deg, rel. 43; hkl -1 2 1, 29.25 deg, rel. 77; hkl 1 1 -1, 30.35 deg, rel. 30; hkl 1 -1 2, 33.71 deg, rel. 32; hkl 1 3 2, 36.46 deg, rel. 35

Atomic structure:
Unit cell a=5.2154 b=8.1338 c=8.4768 alpha=61.46 beta=74.97 gamma=86.14
Fractional coordinates of all 21 atoms:
1 Eu 0.0767 0.2528 0.0118
2 Eu 0.9233 0.7472 0.9882
3 Cu 0.0000 0.0000 0.5000
4 Te 0.4868 0.7333 0.6412
5 Te 0.5132 0.2667 0.3588
6 S 0.2504 0.7459 0.2559
7 S 0.7496 0.2541 0.7441
8 O 0.1343 0.5851 0.2523
9 O 0.1384 0.7482 0.4338
10 O 0.1804 0.9183 0.0981
11 O 0.2519 0.9345 0.6407
12 O 0.2613 0.1726 0.2817
13 O 0.2714 0.5721 0.8804
14 O 0.4567 0.2651 0.7748
15 O 0.5433 0.7349 0.2252
16 O 0.7286 0.4279 0.1196
17 O 0.7387 0.8274 0.7183
18 O 0.7481 0.0655 0.3593
19 O 0.8196 0.0817 0.9019
20 O 0.8616 0.2518 0.5662
21 O 0.8657 0.4149 0.7477